Record 1
The following is a computed XRD peak list of MgTi2Pd3. It was derived from a DFT-relaxed cell (GGA-PBE, Alexandria), using Cu Kα (λ = 1.5418 Å).

Structure:
```
MgTi2Pd3
1.0
3.078 0.000 0.000
0.000 3.078 0.000
0.000 0.000 10.178
Mg Ti Pd
1 2 3
Direct
0.000 0.000 0.000
0.000 0.000 0.332
0.000 0.000 0.668
0.500 0.500 0.175
0.500 0.500 0.500
0.500 0.500 0.825
```

Top 12 peaks for 2θ = 15–90°, sorted by position:
2theta, Rel. int.
26.27, 15
29.01, 25
39.53, 100
41.49, 44
49.77, 11
54.06, 10
60.12, 14
62.52, 5
66.73, 5
70.36, 16
74.36, 29
85.11, 10

Record 2
The following is a computed XRD peak list of Mg2TiPd3. It was derived from a DFT-relaxed cell (GGA-PBE, Alexandria), using Cu Kα (λ = 1.5418 Å).

Structure:
```
Mg2TiPd3
1.0
3.120 0.000 0.000
0.000 3.120 0.000
0.000 0.000 9.937
Mg Ti Pd
2 1 3
Direct
0.000 0.000 0.165
0.000 0.000 0.835
0.000 0.000 0.500
0.500 0.500 0.000
0.500 0.500 0.341
0.500 0.500 0.659
```

Top 12 peaks for 2θ = 15–90°, sorted by position:
2theta, Rel. int.
26.92, 20
28.61, 35
39.69, 100
40.91, 46
49.65, 15
55.48, 9
59.23, 15
63.60, 7
66.22, 6
71.19, 16
73.67, 30
85.51, 10

Record 3
The following is a computed XRD peak list of Mg3TiPd4. It was derived from a DFT-relaxed cell (GGA-PBE, Alexandria), using Cu Kα (λ = 1.5418 Å).

Structure:
```
Mg3TiPd4
1.0
3.152 0.000 0.000
0.000 3.152 0.000
0.000 0.000 13.006
Mg Ti Pd
3 1 4
Direct
0.000 0.000 0.000
0.000 0.000 0.248
0.000 0.000 0.752
0.000 0.000 0.500
0.500 0.500 0.125
0.500 0.500 0.382
0.500 0.500 0.618
0.500 0.500 0.875
```

Top 12 peaks for 2θ = 15–90°, sorted by position:
2theta, Rel. int.
27.43, 21
28.31, 39
39.83, 100
40.47, 48
49.59, 16
56.61, 8
58.57, 16
64.49, 7
65.86, 7
71.88, 16
73.18, 31
85.89, 10

Record 4
The following is a computed XRD peak list of MgTiPd14. It was derived from a DFT-relaxed cell (GGA-PBE, Alexandria), using Cu Kα (λ = 1.5418 Å).

Structure:
```
MgTiPd14
1.0
5.609 0.000 0.000
0.000 5.609 0.000
0.000 0.000 7.818
Mg Ti Pd
1 1 14
Direct
0.000 0.000 0.000
0.500 0.500 0.000
0.000 0.000 0.500
0.000 0.500 0.000
0.000 0.500 0.500
0.253 0.253 0.245
0.253 0.253 0.755
0.253 0.747 0.245
0.253 0.747 0.755
0.500 0.000 0.000
0.500 0.000 0.500
0.500 0.500 0.500
0.747 0.253 0.245
0.747 0.253 0.755
0.747 0.747 0.245
0.747 0.747 0.755
```

Top 12 peaks for 2θ = 15–90°, sorted by position:
2theta, Rel. int.
22.42, 2
25.18, 3
32.15, 1
33.96, 2
39.55, 100
45.75, 33
46.46, 16
66.70, 10
67.25, 20
80.41, 24
81.44, 12
85.16, 10

Record 5
The following is a computed XRD peak list of Mg3TlPd. It was derived from a DFT-relaxed cell (GGA-PBE, Alexandria), using Cu Kα (λ = 1.5418 Å).

Structure:
```
Mg3TlPd
1.0
8.334 0.000 0.000
0.000 7.642 0.000
-3.104 0.000 6.663
Mg Tl Pd
12 4 4
Direct
0.022 0.016 0.307
0.022 0.484 0.807
0.264 0.101 0.091
0.264 0.399 0.591
0.360 0.717 0.924
0.360 0.783 0.424
0.640 0.217 0.576
0.640 0.283 0.076
0.736 0.601 0.409
0.736 0.899 0.909
0.978 0.516 0.193
0.978 0.984 0.693
0.363 0.049 0.721
0.363 0.451 0.221
0.637 0.549 0.779
0.637 0.951 0.279
0.086 0.703 0.542
0.086 0.797 0.042
0.914 0.203 0.958
0.914 0.297 0.458
```

Top 12 peaks for 2θ = 15–90°, sorted by position:
2theta, Rel. int.
17.83, 21
24.21, 100
24.57, 57
26.13, 28
26.32, 23
33.92, 31
35.69, 32
35.76, 41
36.41, 18
37.25, 22
37.87, 23
43.04, 21

Record 6
The following is a computed XRD peak list of MgTlPd6. It was derived from a DFT-relaxed cell (GGA-PBE, Alexandria), using Cu Kα (λ = 1.5418 Å).

Structure:
```
MgTlPd6
1.0
4.620 0.000 0.000
0.000 5.737 0.000
0.000 0.000 9.903
Mg Tl Pd
2 2 12
Direct
0.000 0.000 0.000
0.000 0.500 0.500
0.500 0.000 0.333
0.500 0.500 0.833
0.000 0.000 0.503
0.000 0.245 0.749
0.000 0.255 0.249
0.000 0.500 0.003
0.000 0.745 0.249
0.000 0.755 0.749
0.500 0.000 0.832
0.500 0.250 0.083
0.500 0.250 0.583
0.500 0.500 0.332
0.500 0.750 0.083
0.500 0.750 0.583
```

Top 12 peaks for 2θ = 15–90°, sorted by position:
2theta, Rel. int.
17.88, 15
19.21, 6
36.22, 27
36.93, 7
38.99, 26
41.32, 100
54.27, 17
65.22, 11
72.21, 19
78.50, 7
78.67, 13
80.07, 9

Record 7
The following is a computed XRD peak list of Mg2TlPd6. It was derived from a DFT-relaxed cell (GGA-PBE, Alexandria), using Cu Kα (λ = 1.5418 Å).

Structure:
```
Mg2TlPd6
1.0
4.823 0.000 0.000
0.587 4.970 0.000
1.235 1.646 6.198
Mg Tl Pd
2 1 6
Direct
0.166 0.334 0.165
0.834 0.666 0.835
0.500 0.000 0.500
0.056 0.779 0.388
0.276 0.880 0.947
0.385 0.444 0.731
0.615 0.556 0.269
0.724 0.120 0.053
0.944 0.221 0.612
```

Top 12 peaks for 2θ = 15–90°, sorted by position:
2theta, Rel. int.
18.47, 11
38.44, 100
38.87, 97
43.46, 70
47.78, 27
62.55, 12
63.75, 11
66.50, 20
66.62, 19
76.08, 13
76.19, 13
76.99, 19

Record 8
The following is a computed XRD peak list of Mg7Tl2Pd. It was derived from a DFT-relaxed cell (GGA-PBE, Alexandria), using Cu Kα (λ = 1.5418 Å).

Structure:
```
Mg7Tl2Pd
1.0
7.267 -4.204 0.000
7.267 4.204 0.000
-6.152 0.000 7.345
Mg Tl Pd
14 4 2
Direct
0.114 0.629 0.211
0.168 0.832 0.750
0.185 0.382 0.468
0.276 0.529 0.895
0.371 0.886 0.289
0.382 0.185 0.968
0.471 0.724 0.605
0.529 0.276 0.395
0.618 0.815 0.032
0.629 0.114 0.711
0.724 0.471 0.105
0.815 0.618 0.532
0.832 0.168 0.250
0.886 0.371 0.789
0.114 0.170 0.080
0.170 0.114 0.580
0.830 0.886 0.420
0.886 0.830 0.920
0.497 0.503 0.250
0.503 0.497 0.750
```

Top 12 peaks for 2θ = 15–90°, sorted by position:
2theta, Rel. int.
21.13, 63
22.66, 100
24.78, 32
26.23, 65
32.63, 21
32.79, 44
36.98, 32
37.98, 39
40.15, 28
40.32, 25
40.67, 18
42.98, 34

Record 9
The following is a computed XRD peak list of MgTl2Pd7. It was derived from a DFT-relaxed cell (GGA-PBE, Alexandria), using Cu Kα (λ = 1.5418 Å).

Structure:
```
MgTl2Pd7
1.0
4.141 -8.166 0.000
4.141 8.166 0.000
0.000 0.000 2.900
Mg Tl Pd
1 2 7
Direct
0.000 0.000 0.000
0.323 0.677 0.500
0.677 0.323 0.500
0.131 0.302 0.500
0.179 0.821 0.000
0.302 0.131 0.500
0.500 0.500 0.500
0.698 0.869 0.500
0.821 0.179 0.000
0.869 0.698 0.500
```

Top 12 peaks for 2θ = 15–90°, sorted by position:
2theta, Rel. int.
24.10, 57
30.82, 47
32.91, 25
33.19, 29
36.75, 45
39.62, 100
43.12, 62
43.72, 34
45.72, 45
51.03, 34
71.70, 25
78.18, 27

Record 10
The following is a computed XRD peak list of Mg4TlPd3. It was derived from a DFT-relaxed cell (GGA-PBE, Alexandria), using Cu Kα (λ = 1.5418 Å).

Structure:
```
Mg4TlPd3
1.0
3.587 0.000 0.000
0.000 4.460 0.000
0.000 0.000 8.884
Mg Tl Pd
4 1 3
Direct
0.000 0.000 0.000
0.000 0.000 0.500
0.000 0.500 0.229
0.000 0.500 0.771
0.500 0.500 0.500
0.500 0.000 0.245
0.500 0.000 0.755
0.500 0.500 0.000
```

Top 12 peaks for 2θ = 15–90°, sorted by position:
2theta, Rel. int.
24.82, 35
28.36, 50
38.03, 100
40.45, 21
40.62, 20
48.04, 12
48.19, 12
50.91, 11
58.67, 14
59.30, 13
71.97, 15
72.20, 14

Record 11
The following is a computed XRD peak list of TmMg5Pd2. It was derived from a DFT-relaxed cell (GGA-PBE, Alexandria), using Cu Kα (λ = 1.5418 Å).

Structure:
```
TmMg5Pd2
1.0
4.040 0.000 0.000
0.000 8.415 0.000
0.000 0.000 9.928
Tm Mg Pd
2 10 4
Direct
0.000 0.000 0.000
0.500 0.500 0.500
0.000 0.186 0.342
0.000 0.186 0.658
0.000 0.500 0.000
0.000 0.814 0.342
0.000 0.814 0.658
0.500 0.000 0.500
0.500 0.314 0.158
0.500 0.314 0.842
0.500 0.686 0.158
0.500 0.686 0.842
0.000 0.500 0.279
0.000 0.500 0.721
0.500 0.000 0.221
0.500 0.000 0.779
```

Top 12 peaks for 2θ = 15–90°, sorted by position:
2theta, Rel. int.
21.12, 66
30.44, 100
32.01, 31
33.19, 20
35.05, 53
41.28, 22
42.28, 32
43.00, 15
43.29, 52
44.87, 21
56.63, 14
63.34, 19

Record 12
The following is a computed XRD peak list of TmMg4Pd7. It was derived from a DFT-relaxed cell (GGA-PBE, Alexandria), using Cu Kα (λ = 1.5418 Å).

Structure:
```
TmMg4Pd7
1.0
5.345 -2.476 0.000
5.345 2.476 0.000
-4.870 0.000 8.340
Tm Mg Pd
1 4 7
Direct
0.000 0.000 0.000
0.246 0.246 0.663
0.412 0.412 0.230
0.588 0.588 0.770
0.754 0.754 0.337
0.063 0.063 0.333
0.218 0.218 0.916
0.359 0.359 0.472
0.500 0.500 0.000
0.641 0.641 0.528
0.782 0.782 0.084
0.937 0.937 0.667
```

Top 12 peaks for 2θ = 15–90°, sorted by position:
2theta, Rel. int.
21.31, 60
25.79, 64
34.72, 71
35.92, 54
36.28, 100
37.31, 25
40.34, 59
42.32, 32
42.50, 57
43.41, 29
51.09, 47
51.98, 38

Q: Which formula does entry 11 have?
A: TmMg5Pd2

Q: Which formula does entry 5 have?
A: Mg3TlPd